Diffraction record for LiPrHf2N4. The X-ray powder pattern is computed, not measured: it uses a crystal structure in Alexandria, relaxed with GGA-PBE and λ = 1.5418 Å (Cu Kα).
Kinematic intensities with the Lorentz-polarization factor, no thermal factor.

Crystal structure
Lattice parameters (Å, degrees): 5.640 5.640 11.057 90.00 90.00 146.04
Fractional coordinates of all 16 atoms:
Li 0.161 0.839 0.750
Li 0.839 0.161 0.250
Pr 0.106 0.894 0.250
Pr 0.894 0.106 0.750
Hf 0.366 0.634 0.057
Hf 0.366 0.634 0.443
Hf 0.634 0.366 0.557
Hf 0.634 0.366 0.943
N 0.000 0.000 0.000
N 0.000 0.000 0.500
N 0.261 0.739 0.609
N 0.261 0.739 0.891
N 0.437 0.563 0.250
N 0.563 0.437 0.750
N 0.739 0.261 0.109
N 0.739 0.261 0.391

Principal peaks in the range 10° ≤ 2θ ≤ 80°, low angle first:
d (Å), Rel. int.
3.043, 100
3.030, 29
2.737, 57
2.697, 37
2.372, 29
2.224, 41
1.810, 30
1.448, 22